Structure and calculated X-ray diffraction stick pattern of UTeSe (a cell relaxed with PBE; copper Kα).

Atomic structure:
```
12
Lattice="6.014 0.000 0.000 0.000 5.252 0.000 0.000 0.000 9.385" Properties=species:S:1:pos:R:3 pbc="T T T"
U 1.427 1.313 0.849
U 1.580 3.939 5.542
U 4.434 1.313 3.843
U 4.587 3.939 8.536
Te 0.120 1.313 7.159
Te 2.887 3.939 2.467
Te 3.127 1.313 6.918
Te 5.894 3.939 2.226
Se 1.393 1.313 3.962
Se 1.614 3.939 8.654
Se 4.400 1.313 0.731
Se 4.621 3.939 5.423
```

Largest 10 diffraction maxima, in order of falling intensity, 2θ from 10° to 90°:
33.3 deg, I 100
35.7 deg, I 71
34.1 deg, I 48
24.4 deg, I 35
35.5 deg, I 31
72.0 deg, I 25
50.0 deg, I 23
24.1 deg, I 23
60.6 deg, I 18
61.3 deg, I 18

Structure and calculated X-ray diffraction stick pattern of K2NaTlI6 (a cell relaxed with PBE; copper Kα).

Atomic structure:
```
10
Lattice="0.000 6.140 6.140 6.140 0.000 6.140 6.140 6.140 0.000" Properties=species:S:1:pos:R:3 pbc="T T T"
K 3.070 3.070 3.070
K 9.210 9.210 9.210
Na 0.000 0.000 0.000
Tl 6.140 6.140 6.140
I 6.140 6.140 3.126
I 6.140 3.126 6.140
I 9.154 6.140 6.140
I 3.126 6.140 6.140
I 6.140 9.154 6.140
I 6.140 6.140 9.154
```

Largest 10 diffraction maxima, in order of falling intensity, 2θ from 10° to 90°:
29.1 deg, I 100
41.6 deg, I 74
14.4 deg, I 71
25.1 deg, I 66
32.6 deg, I 40
68.3 deg, I 33
12.5 deg, I 32
49.2 deg, I 29
51.6 deg, I 26
75.9 deg, I 24

Structure and calculated X-ray diffraction stick pattern of ScBiO3 (a cell relaxed with PBE; copper Kα).

Atomic structure:
```
20
Lattice="5.910 0.000 0.000 0.000 8.104 0.000 0.000 0.000 5.601" Properties=species:S:1:pos:R:3 pbc="T T T"
Sc 0.000 0.000 0.000
Sc 0.000 4.052 0.000
Sc 2.955 0.000 2.800
Sc 2.955 4.052 2.800
Bi 0.270 2.026 2.741
Bi 2.685 6.078 5.541
Bi 3.224 2.026 0.059
Bi 5.640 6.078 2.859
O 0.219 6.078 0.646
O 1.141 4.520 3.845
O 1.141 7.636 3.845
O 1.814 0.468 1.044
O 1.814 3.584 1.044
O 2.736 2.026 3.446
O 3.174 6.078 2.154
O 4.096 4.520 4.556
O 4.096 7.636 4.556
O 4.769 0.468 1.756
O 4.769 3.584 1.756
O 5.690 2.026 4.955
```

Largest 10 diffraction maxima, in order of falling intensity, 2θ from 10° to 90°:
31.2 deg, I 100
21.9 deg, I 72
50.4 deg, I 26
32.0 deg, I 24
56.5 deg, I 23
30.2 deg, I 23
44.6 deg, I 20
39.1 deg, I 17
37.7 deg, I 16
44.7 deg, I 13